No. 1
Theoretical X-ray powder pattern of NaReSn for Cu Ka, from a PBE-relaxed structure.
Kinematic intensities with the Lorentz-polarization factor, no thermal factor.

Most intense lines, 10° ≤ 2θ ≤ 80°, by intensity:
two_theta  I/Imax
10.12  100
36.90  57
36.17  45
37.94  37
38.36  35
30.67  29
20.31  26
21.31  21

Structure:
a b c (Å): 2.8391 4.7432 8.7445
angles (deg): 90.00 90.21 90.00
Space group P2_1/m (No. 11)
One atom of each set of equivalent atoms:
1 Na 0.2476 0.2500 0.4436 (multiplicity 2)
2 Re 0.2540 0.7500 0.2061 (multiplicity 2)
3 Sn 0.2481 0.7500 0.8824 (multiplicity 2)


No. 2
Theoretical X-ray powder pattern of Na2ReTe for Cu Ka, from a PBE-relaxed structure.
Kinematic intensities with the Lorentz-polarization factor, no thermal factor.

Most intense lines, 10° ≤ 2θ ≤ 80°, by intensity:
two_theta  I/Imax
20.31  100
28.88  81
37.46  62
47.97  61
41.29  31
65.12  24
46.44  24
56.97  18

Structure:
a b c (Å): 8.7454 8.7454 5.2105
angles (deg): 90.00 90.00 90.00
Space group I-42d (No. 122)
One atom of each set of equivalent atoms:
1 Na 0.2430 0.2500 0.1250 (multiplicity 8)
2 Re 0.0000 0.0000 0.0000 (multiplicity 4)
3 Te 0.0000 0.0000 0.5000 (multiplicity 4)


No. 3
Theoretical X-ray powder pattern of NaTl2Re for Cu Ka, from a PBE-relaxed structure.
Kinematic intensities with the Lorentz-polarization factor, no thermal factor.

Most intense lines, 10° ≤ 2θ ≤ 80°, by intensity:
two_theta  I/Imax
36.66  100
66.01  37
52.82  18
22.21  16
25.70  12
77.95  11
43.28  9
59.64  5

Structure:
a b c (Å): 6.9332 6.9332 6.9332
angles (deg): 90.00 90.00 90.00
Space group Fm-3m (No. 225)
One atom of each set of equivalent atoms:
1 Na 0.0000 0.0000 0.0000 (multiplicity 4)
2 Tl 0.2500 0.2500 0.2500 (multiplicity 8)
3 Re 0.0000 0.0000 0.5000 (multiplicity 4)


No. 4
Theoretical X-ray powder pattern of Na3ReW for Cu Ka, from a PBE-relaxed structure.
Kinematic intensities with the Lorentz-polarization factor, no thermal factor.

Most intense lines, 10° ≤ 2θ ≤ 80°, by intensity:
two_theta  I/Imax
24.00  100
42.21  46
34.19  34
49.13  24
66.73  24
55.40  21
77.16  12
61.22  8

Structure:
a b c (Å): 5.2448 5.2448 5.2448
angles (deg): 90.00 90.00 90.00
Space group Pm-3m (No. 221)
One atom of each set of equivalent atoms:
1 Na 0.0000 0.0000 0.5000 (multiplicity 3)
2 Re 0.0000 0.0000 0.0000 (multiplicity 1)
3 W 0.5000 0.5000 0.5000 (multiplicity 1)


No. 5
Theoretical X-ray powder pattern of NaRuRh for Cu Ka, from a PBE-relaxed structure.
Kinematic intensities with the Lorentz-polarization factor, no thermal factor.

Most intense lines, 10° ≤ 2θ ≤ 80°, by intensity:
two_theta  I/Imax
16.77  100
40.70  48
34.70  46
49.31  17
44.38  16
44.24  16
47.83  15
41.77  14

Structure:
a b c (Å): 10.9041 3.8035 5.4567
angles (deg): 90.00 104.20 90.00
Space group C2/m (No. 12)
One atom of each set of equivalent atoms:
1 Na 0.0044 0.0000 0.2541 (multiplicity 4)
2 Ru 0.2081 0.5000 0.0968 (multiplicity 4)
3 Rh 0.2021 0.5000 0.6042 (multiplicity 4)


No. 6
Theoretical X-ray powder pattern of NaRuRh for Cu Ka, from a PBE-relaxed structure.
Kinematic intensities with the Lorentz-polarization factor, no thermal factor.

Most intense lines, 10° ≤ 2θ ≤ 80°, by intensity:
two_theta  I/Imax
12.25  100
40.59  30
39.20  22
37.32  17
43.39  15
43.51  15
43.26  13
49.06  10

Structure:
a b c (Å): 2.7642 5.1301 7.5217
angles (deg): 74.52 89.96 74.51
Space group P1 (No. 1)
One atom of each set of equivalent atoms:
1 Na 0.0000 0.0000 0.0000 (multiplicity 1)
2 Na 0.2779 0.4478 0.0879 (multiplicity 1)
3 Ru 0.6110 0.7822 0.6990 (multiplicity 1)
4 Ru 0.9445 0.1151 0.4394 (multiplicity 1)
5 Rh 0.3280 0.3452 0.6666 (multiplicity 1)
6 Rh 0.6586 0.6846 0.3740 (multiplicity 1)


No. 7
Theoretical X-ray powder pattern of NaRh5S8 for Cu Ka, from a PBE-relaxed structure.
Kinematic intensities with the Lorentz-polarization factor, no thermal factor.

Most intense lines, 10° ≤ 2θ ≤ 80°, by intensity:
two_theta  I/Imax
10.99  100
10.04  55
29.55  50
12.36  48
33.28  35
51.46  35
41.25  31
40.09  27

Structure:
a b c (Å): 18.5505 3.5247 8.4753
angles (deg): 90.00 108.15 90.00
Space group Cm (No. 8)
One atom of each set of equivalent atoms:
1 Na 0.0000 0.0000 0.0000 (multiplicity 2)
2 Rh 0.1095 0.0000 0.4528 (multiplicity 2)
3 Rh 0.1531 0.0000 0.8194 (multiplicity 2)
4 Rh 0.2515 0.5000 0.1717 (multiplicity 2)
5 Rh 0.2979 0.5000 0.5417 (multiplicity 2)
6 Rh 0.4517 0.0000 0.4903 (multiplicity 2)
7 S 0.0312 0.0000 0.6183 (multiplicity 2)
8 S 0.0324 0.5000 0.3076 (multiplicity 2)
9 S 0.1277 0.5000 0.9783 (multiplicity 2)
10 S 0.1894 0.5000 0.6477 (multiplicity 2)
11 S 0.2178 0.0000 0.3525 (multiplicity 2)
12 S 0.2757 0.0000 0.0129 (multiplicity 2)
13 S 0.3717 0.5000 0.3687 (multiplicity 2)
14 S 0.3768 0.0000 0.6828 (multiplicity 2)


No. 8
Theoretical X-ray powder pattern of Na3SbRh3S8 for Cu Ka, from a PBE-relaxed structure.
Kinematic intensities with the Lorentz-polarization factor, no thermal factor.

Most intense lines, 10° ≤ 2θ ≤ 80°, by intensity:
two_theta  I/Imax
13.63  100
33.91  87
50.22  28
47.18  27
28.74  27
43.40  22
52.29  17
29.84  14

Structure:
a b c (Å): 7.2673 7.2673 19.4876
angles (deg): 90.00 90.00 120.00
Space group R-3m (No. 166, hexagonal axes)
One atom of each set of equivalent atoms:
1 Na 0.0000 0.5000 0.0000 (multiplicity 9)
2 Sb 0.0000 0.0000 0.5000 (multiplicity 3)
3 Rh 0.0000 0.5000 0.5000 (multiplicity 9)
4 S 0.0000 0.0000 0.2297 (multiplicity 6)
5 S 0.0231 0.5115 0.7662 (multiplicity 18)


No. 9
Theoretical X-ray powder pattern of Na3SnRh2S6 for Cu Ka, from a PBE-relaxed structure.
Kinematic intensities with the Lorentz-polarization factor, no thermal factor.

Most intense lines, 10° ≤ 2θ ≤ 80°, by intensity:
two_theta  I/Imax
33.43  100
13.68  91
46.90  31
49.12  22
43.06  22
29.26  19
28.11  17
51.24  12

Structure:
a b c (Å): 6.4196 11.1572 6.8179
angles (deg): 90.00 108.29 90.00
Space group C2/m (No. 12)
One atom of each set of equivalent atoms:
1 Na 0.0000 0.0000 0.0000 (multiplicity 2)
2 Na 0.0000 0.3366 0.0000 (multiplicity 4)
3 Sn 0.0000 0.5000 0.5000 (multiplicity 2)
4 Rh 0.0000 0.1674 0.5000 (multiplicity 4)
5 S 0.2114 0.0000 0.6988 (multiplicity 4)
6 S 0.2432 0.3235 0.6981 (multiplicity 8)


No. 10
Theoretical X-ray powder pattern of Na2Sr6RhS for Cu Ka, from a PBE-relaxed structure.
Kinematic intensities with the Lorentz-polarization factor, no thermal factor.

Most intense lines, 10° ≤ 2θ ≤ 80°, by intensity:
two_theta  I/Imax
29.92  100
14.83  77
42.82  73
25.84  72
33.55  40
50.69  33
70.51  32
53.12  25

Structure:
a b c (Å): 11.9385 11.9462 11.9514
angles (deg): 90.00 90.00 90.00
Space group Fmm2 (No. 42)
One atom of each set of equivalent atoms:
1 Na 0.2500 0.2500 0.0000 (multiplicity 8)
2 Sr 0.0000 0.0000 0.0046 (multiplicity 4)
3 Sr 0.0000 0.0000 0.4944 (multiplicity 4)
4 Sr 0.0000 0.2450 0.2496 (multiplicity 8)
5 Sr 0.2450 0.0000 0.2497 (multiplicity 8)
6 Rh 0.0000 0.0000 0.2495 (multiplicity 4)
7 S 0.0000 0.0000 0.7495 (multiplicity 4)


No. 11
Theoretical X-ray powder pattern of Na3TaRh3S8 for Cu Ka, from a PBE-relaxed structure.
Kinematic intensities with the Lorentz-polarization factor, no thermal factor.

Most intense lines, 10° ≤ 2θ ≤ 80°, by intensity:
two_theta  I/Imax
13.55  100
34.16  77
29.09  28
50.88  25
47.24  25
43.50  22
52.91  17
30.16  16

Structure:
a b c (Å): 7.1788 7.1788 19.5990
angles (deg): 90.00 90.00 120.00
Space group R-3m (No. 166, hexagonal axes)
One atom of each set of equivalent atoms:
1 Na 0.0000 0.5000 0.0000 (multiplicity 9)
2 Ta 0.0000 0.0000 0.5000 (multiplicity 3)
3 Rh 0.0000 0.5000 0.5000 (multiplicity 9)
4 S 0.0000 0.0000 0.2298 (multiplicity 6)
5 S 0.0086 0.5043 0.7672 (multiplicity 18)


No. 12
Theoretical X-ray powder pattern of NaTcRhS3 for Cu Ka, from a PBE-relaxed structure.
Kinematic intensities with the Lorentz-polarization factor, no thermal factor.

Most intense lines, 10° ≤ 2θ ≤ 80°, by intensity:
two_theta  I/Imax
13.20  100
36.68  17
38.79  17
32.86  16
32.08  13
48.22  12
35.72  11
36.14  10

Structure:
a b c (Å): 7.4338 3.4184 9.5422
angles (deg): 90.00 109.09 90.00
Space group P2_1/m (No. 11)
One atom of each set of equivalent atoms:
1 Na 0.2443 0.2500 0.2455 (multiplicity 2)
2 Tc 0.0981 0.2500 0.6210 (multiplicity 2)
3 Rh 0.3098 0.7500 0.8669 (multiplicity 2)
4 S 0.0937 0.2500 0.8635 (multiplicity 2)
5 S 0.2219 0.7500 0.5091 (multiplicity 2)
6 S 0.4674 0.7500 0.1322 (multiplicity 2)


No. 13
Theoretical X-ray powder pattern of NaSb2Rh2 for Cu Ka, from a PBE-relaxed structure.
Kinematic intensities with the Lorentz-polarization factor, no thermal factor.

Most intense lines, 10° ≤ 2θ ≤ 80°, by intensity:
two_theta  I/Imax
44.97  100
38.42  98
32.25  90
17.46  84
20.87  61
32.62  47
74.07  45
42.49  34

Structure:
a b c (Å): 4.6862 4.6862 10.1605
angles (deg): 90.00 90.00 90.00
Space group I4/mmm (No. 139)
One atom of each set of equivalent atoms:
1 Na 0.0000 0.0000 0.0000 (multiplicity 2)
2 Sb 0.0000 0.5000 0.2500 (multiplicity 4)
3 Rh 0.0000 0.0000 0.3702 (multiplicity 4)


No. 14
Theoretical X-ray powder pattern of Na2Rh3Se6 for Cu Ka, from a PBE-relaxed structure.
Kinematic intensities with the Lorentz-polarization factor, no thermal factor.

Most intense lines, 10° ≤ 2θ ≤ 80°, by intensity:
two_theta  I/Imax
32.70  100
13.18  97
41.85  33
48.34  25
45.49  24
50.31  19
57.71  17
48.28  13

Structure:
a b c (Å): 6.5196 11.3097 7.0640
angles (deg): 90.00 108.00 90.00
Space group C2/m (No. 12)
One atom of each set of equivalent atoms:
1 Na 0.0000 0.1661 0.0000 (multiplicity 4)
2 Rh 0.0000 0.0000 0.5000 (multiplicity 2)
3 Rh 0.0000 0.3331 0.5000 (multiplicity 4)
4 Se 0.2295 0.1667 0.6886 (multiplicity 8)
5 Se 0.2306 0.5000 0.6921 (multiplicity 4)